Entry 1:
This entry pairs a crystal structure of Dy6ZnHg2 with its computed XRD peak list. Radiation: Cu Kα (λ = 1.5418 Å). Structure: a DFT-relaxed cell (GGA-PBE, Alexandria).
Neutral-atom scattering factors, no anomalous dispersion.

Main lines, by angle (15° ≤ 2θ ≤ 90°):
21.58 deg, d = 4.118 Å, rel. 254
24.97 deg, d = 3.566 Å, rel. 146
35.61 deg, d = 2.521 Å, rel. 1000
51.30 deg, d = 1.781 Å, rel. 119
63.91 deg, d = 1.457 Å, rel. 243
64.04 deg, d = 1.454 Å, rel. 122

Crystal structure
```
9
Lattice="-2.516 3.574 7.564 2.516 -3.574 7.564 2.516 3.574 -7.564" Properties=species:S:1:pos:R:3 pbc="T T T"
Dy 2.516 1.759 -2.480
Dy 0.000 1.736 0.000
Dy 2.516 1.759 2.480
Dy 0.000 1.814 5.084
Dy 0.000 5.412 0.000
Dy 0.000 1.814 10.045
Zn 2.516 0.000 0.000
Hg 2.516 0.000 5.042
Hg 0.000 3.574 2.522
```

Entry 2:
This entry pairs a crystal structure of Dy7Zn2Hg2 with its computed XRD peak list. Radiation: Cu Kα (λ = 1.5418 Å). Structure: a DFT-relaxed cell (GGA-PBE, Alexandria).
Neutral-atom scattering factors, no anomalous dispersion.

Main lines, by angle (15° ≤ 2θ ≤ 90°):
26.38 deg, d = 3.379 Å, rel. 461
27.54 deg, d = 3.239 Å, rel. 585
28.58 deg, d = 3.123 Å, rel. 381
32.56 deg, d = 2.750 Å, rel. 679
36.08 deg, d = 2.489 Å, rel. 436
37.38 deg, d = 2.406 Å, rel. 1000

Crystal structure
```
11
Lattice="3.773 -5.501 0.000 3.773 5.501 0.000 0.000 0.000 7.587" Properties=species:S:1:pos:R:3 pbc="T T T"
Dy 0.000 0.000 0.000
Dy 1.887 2.750 2.113
Dy 1.887 2.750 5.474
Dy 1.887 -2.750 2.113
Dy 1.887 -2.750 5.474
Dy 3.773 0.000 1.853
Dy 3.773 0.000 5.734
Zn 3.773 2.301 0.000
Zn 3.773 -2.301 0.000
Hg 1.411 0.000 3.794
Hg 6.136 0.000 3.794
```